Calculated powder diffractogram
Compound: NaTl7Pb2
Radiation: copper Kα
Structure: DFT lattice parameters and positions (GGA-PBE)

Largest 6 diffraction maxima, in order of rising 2θ, 2θ = 10–90°:
d (Å)	I (rel.)
3.152	48
2.707	100
2.639	57
1.890	22
1.563	20
1.550	23

Cell and atoms:
a = 5.4140 Å, b = 5.4140 Å, c = 12.7724 Å
α = 90.00°, β = 90.00°, γ = 120.00°
Fractional coordinates of all 10 atoms:
Na 0.0000 0.0000 0.0000
Tl 0.0000 0.0000 0.3120
Tl 0.0000 0.0000 0.7099
Tl 0.3333 0.6667 0.1067
Tl 0.3333 0.6667 0.5154
Tl 0.6667 0.3333 0.1520
Tl 0.6667 0.3333 0.6418
Tl 0.6667 0.3333 0.8983
Pb 0.3333 0.6667 0.8168
Pb 0.6667 0.3333 0.3940

Calculated powder diffractogram
Compound: NaTl4Pb
Radiation: copper Kα
Structure: DFT lattice parameters and positions (GGA-PBE)

Largest 6 diffraction maxima, in order of rising 2θ, 2θ = 10–90°:
d (Å)	I (rel.)
2.881	53
2.839	51
2.814	100
2.517	37
2.484	37
2.375	31

Cell and atoms:
a = 4.7523 Å, b = 6.0637 Å, c = 7.0329 Å
α = 107.35°, β = 90.54°, γ = 111.56°
Fractional coordinates of all 6 atoms:
Na 0.0000 0.0000 0.0000
Tl 0.0037 0.0060 0.4988
Tl 0.3270 0.6584 0.1653
Tl 0.3357 0.6765 0.6747
Tl 0.6650 0.3313 0.3297
Pb 0.6714 0.3374 0.8273

Calculated powder diffractogram
Compound: Na2Tl3Pb8
Radiation: copper Kα
Structure: DFT lattice parameters and positions (GGA-PBE)

Largest 6 diffraction maxima, in order of rising 2θ, 2θ = 10–90°:
d (Å)	I (rel.)
3.481	46
2.999	24
2.862	56
2.801	100
2.641	59
2.211	28

Cell and atoms:
a = 7.0098 Å, b = 7.0098 Å, c = 9.3599 Å
α = 99.94°, β = 99.94°, γ = 109.49°
Fractional coordinates of all 13 atoms:
Na 0.0788 0.0788 0.3676
Na 0.9212 0.9212 0.6324
Tl 0.2485 0.7515 0.0000
Tl 0.5000 0.5000 0.5000
Tl 0.7515 0.2485 0.0000
Pb 0.0717 0.5730 0.3499
Pb 0.2440 0.2440 0.1061
Pb 0.3415 0.3415 0.8009
Pb 0.4270 0.9283 0.6501
Pb 0.5730 0.0717 0.3499
Pb 0.6585 0.6585 0.1991
Pb 0.7560 0.7560 0.8939
Pb 0.9283 0.4270 0.6501

Calculated powder diffractogram
Compound: NaTl5Pb5
Radiation: copper Kα
Structure: DFT lattice parameters and positions (GGA-PBE)

Largest 6 diffraction maxima, in order of rising 2θ, 2θ = 10–90°:
d (Å)	I (rel.)
2.885	51
2.868	100
2.854	50
2.490	69
2.473	33
1.761	49

Cell and atoms:
a = 4.9789 Å, b = 6.1020 Å, c = 12.5817 Å
α = 94.89°, β = 101.10°, γ = 113.83°
Fractional coordinates of all 11 atoms:
Na 0.0000 0.0000 0.0000
Tl 0.0836 0.8982 0.2682
Tl 0.2749 0.7385 0.8200
Tl 0.3597 0.6318 0.0894
Tl 0.6385 0.3673 0.9086
Tl 0.9148 0.1026 0.7310
Pb 0.1828 0.8273 0.5484
Pb 0.4519 0.5380 0.3639
Pb 0.5446 0.4663 0.6335
Pb 0.7296 0.2715 0.1831
Pb 0.8168 0.1824 0.4515

Q: Number 1 is which compound?
A: NaTl7Pb2